No. 1
Structure and calculated PXRD pattern of RbAgSbF6 (the GGA-PBE geometry in Alexandria; Cu Kα (weighted mean of Kα1 and Kα2)).
Peak positions follow from Bragg's law for the DFT cell and can differ from measured ones.

The 8 most intense peaks (2θ from 15° to 90°), most intense first:
3.886 Å, 2θ = 22.9°, I 100
2.082 Å, 2θ = 43.5°, I 54
3.120 Å, 2θ = 28.6°, I 47
5.591 Å, 2θ = 15.9°, I 30
2.433 Å, 2θ = 36.9°, I 25
2.725 Å, 2θ = 32.9°, I 23
1.919 Å, 2θ = 47.4°, I 21
1.800 Å, 2θ = 50.7°, I 13

```
data_RbAgSbF6
_chemical_formula_sum 'Rb1 Ag1 Sb1 F6'
_symmetry_space_group_name_H-M 'P 1'
_symmetry_Int_Tables_number 1
_symmetry_space_group_name_Hall 'P 1'
_cell_length_a 6.244
_cell_length_b 6.244
_cell_length_c 5.591
_cell_angle_alpha 90.04
_cell_angle_beta 90.04
_cell_angle_gamma 120.13
loop_
_atom_site_label
_atom_site_type_symbol
_atom_site_fract_x
_atom_site_fract_y
_atom_site_fract_z
Rb1 Rb 0.000 0.000 0.000
Ag1 Ag 0.666 0.334 0.500
Sb1 Sb 0.333 0.667 0.500
F1 F 0.053 0.399 0.296
F2 F 0.054 0.655 0.706
F3 F 0.345 0.946 0.294
F4 F 0.346 0.400 0.705
F5 F 0.600 0.654 0.295
F6 F 0.601 0.947 0.704
```



No. 2
Structure and calculated PXRD pattern of Rb3SmAg2F9 (the GGA-PBE geometry in Alexandria; Cu Kα (weighted mean of Kα1 and Kα2)).
Peak positions follow from Bragg's law for the DFT cell and can differ from measured ones.

The 8 most intense peaks (2θ from 15° to 90°), most intense first:
3.220 Å, 2θ = 27.7°, I 100
3.284 Å, 2θ = 27.1°, I 98
2.299 Å, 2θ = 39.2°, I 73
1.871 Å, 2θ = 48.7°, I 40
4.599 Å, 2θ = 19.3°, I 31
1.610 Å, 2θ = 57.2°, I 24
1.859 Å, 2θ = 49.0°, I 21
1.642 Å, 2θ = 56.0°, I 18

```
data_Rb3SmAg2F9
_chemical_formula_sum 'Rb3 Sm1 Ag2 F9'
_symmetry_space_group_name_H-M 'P 1'
_symmetry_Int_Tables_number 1
_symmetry_space_group_name_Hall 'P 1'
_cell_length_a 6.441
_cell_length_b 6.441
_cell_length_c 8.127
_cell_angle_alpha 90.00
_cell_angle_beta 90.00
_cell_angle_gamma 120.00
loop_
_atom_site_label
_atom_site_type_symbol
_atom_site_fract_x
_atom_site_fract_y
_atom_site_fract_z
Rb1 Rb 0.000 0.000 0.000
Rb2 Rb 0.333 0.667 0.719
Rb3 Rb 0.667 0.333 0.281
Sm1 Sm 0.000 0.000 0.500
Ag1 Ag 0.333 0.667 0.164
Ag2 Ag 0.667 0.333 0.836
F1 F 0.000 0.500 0.000
F2 F 0.161 0.321 0.334
F3 F 0.161 0.839 0.334
F4 F 0.321 0.161 0.666
F5 F 0.500 0.000 0.000
F6 F 0.500 0.500 0.000
F7 F 0.679 0.839 0.334
F8 F 0.839 0.161 0.666
F9 F 0.839 0.679 0.666
```



No. 3
Structure and calculated PXRD pattern of Rb2SrAgF6 (the GGA-PBE geometry in Alexandria; Cu Kα (weighted mean of Kα1 and Kα2)).
Peak positions follow from Bragg's law for the DFT cell and can differ from measured ones.

The 8 most intense peaks (2θ from 15° to 90°), most intense first:
3.226 Å, 2θ = 27.7°, I 100
3.212 Å, 2θ = 27.8°, I 94
2.338 Å, 2θ = 38.5°, I 73
3.321 Å, 2θ = 26.8°, I 51
3.291 Å, 2θ = 27.1°, I 49
1.897 Å, 2θ = 48.0°, I 39
2.220 Å, 2θ = 40.6°, I 32
1.845 Å, 2θ = 49.4°, I 32

```
data_Rb2SrAgF6
_chemical_formula_sum 'Rb4 Sr2 Ag2 F12'
_symmetry_space_group_name_H-M 'P 1'
_symmetry_Int_Tables_number 1
_symmetry_space_group_name_Hall 'P 1'
_cell_length_a 6.582
_cell_length_b 6.642
_cell_length_c 11.021
_cell_angle_alpha 90.00
_cell_angle_beta 126.33
_cell_angle_gamma 90.00
loop_
_atom_site_label
_atom_site_type_symbol
_atom_site_fract_x
_atom_site_fract_y
_atom_site_fract_z
Rb1 Rb 0.240 0.033 0.249
Rb2 Rb 0.240 0.467 0.749
Rb3 Rb 0.760 0.533 0.251
Rb4 Rb 0.760 0.967 0.751
Sr1 Sr 0.000 0.000 0.500
Sr2 Sr 0.000 0.500 0.000
Ag1 Ag 0.500 0.000 0.000
Ag2 Ag 0.500 0.500 0.500
F1 F 0.182 0.215 0.964
F2 F 0.182 0.285 0.464
F3 F 0.246 0.718 0.961
F4 F 0.246 0.782 0.461
F5 F 0.339 0.020 0.768
F6 F 0.339 0.480 0.268
F7 F 0.661 0.520 0.732
F8 F 0.661 0.980 0.232
F9 F 0.754 0.218 0.539
F10 F 0.754 0.282 0.039
F11 F 0.818 0.715 0.536
F12 F 0.818 0.785 0.036
```



No. 4
Structure and calculated PXRD pattern of RbTiAgF6 (the GGA-PBE geometry in Alexandria; Cu Kα (weighted mean of Kα1 and Kα2)).
Peak positions follow from Bragg's law for the DFT cell and can differ from measured ones.

The 8 most intense peaks (2θ from 15° to 90°), most intense first:
3.777 Å, 2θ = 23.6°, I 100
3.792 Å, 2θ = 23.5°, I 99
3.758 Å, 2θ = 23.7°, I 97
3.039 Å, 2θ = 29.4°, I 71
5.424 Å, 2θ = 16.3°, I 48
2.032 Å, 2θ = 44.6°, I 42
2.368 Å, 2θ = 38.0°, I 38
3.031 Å, 2θ = 29.5°, I 37

```
data_RbTiAgF6
_chemical_formula_sum 'Rb1 Ti1 Ag1 F6'
_symmetry_space_group_name_H-M 'P 1'
_symmetry_Int_Tables_number 1
_symmetry_space_group_name_Hall 'P 1'
_cell_length_a 5.425
_cell_length_b 6.062
_cell_length_c 6.067
_cell_angle_alpha 60.24
_cell_angle_beta 89.40
_cell_angle_gamma 89.83
loop_
_atom_site_label
_atom_site_type_symbol
_atom_site_fract_x
_atom_site_fract_y
_atom_site_fract_z
Rb1 Rb 0.000 0.000 0.000
Ti1 Ti 0.507 0.338 0.331
Ag1 Ag 0.496 0.667 0.668
F1 F 0.294 0.348 0.577
F2 F 0.313 0.081 0.328
F3 F 0.316 0.596 0.063
F4 F 0.697 0.591 0.354
F5 F 0.699 0.076 0.585
F6 F 0.719 0.357 0.073
```